Starting from a structure optimized by DFT (GGA-PBE), the powder diffraction line list of Th4Sb3H2 was calculated for Cu Kα, 1.54184 Å.
Intensities are scaled so that the largest is 100.

Structure:
Unit cell a=8.012 b=8.012 c=7.548 alpha=99.44 beta=99.44 gamma=80.49
Sites, in units of the cell vectors:
Th  0.062  0.727  0.504
Th  0.273  0.938  0.996
Th  0.286  0.413  0.871
Th  0.413  0.286  0.371
Th  0.587  0.714  0.629
Th  0.714  0.587  0.129
Th  0.727  0.062  0.004
Th  0.938  0.273  0.496
Sb  0.040  0.287  0.113
Sb  0.287  0.040  0.613
Sb  0.351  0.649  0.250
Sb  0.649  0.351  0.750
Sb  0.713  0.960  0.387
Sb  0.960  0.713  0.887
H  0.176  0.437  0.557
H  0.437  0.176  0.057
H  0.563  0.824  0.943
H  0.824  0.563  0.443

Largest 10 diffraction maxima, sorted by position, 2θ from 10° to 90°:
| 2theta | I_rel |
| --- | --- |
| 24.20 | 94 |
| 25.53 | 42 |
| 26.89 | 37 |
| 28.18 | 41 |
| 29.00 | 73 |
| 29.92 | 48 |
| 30.21 | 47 |
| 34.37 | 100 |
| 35.32 | 57 |
| 36.77 | 59 |